Calculated PXRD pattern of Fe3PH6PbSO14 for Cu Kα (λ = 1.5418 Å), from a DFT-relaxed cell (PBE+U, the Materials Project).
Lines closer than 0.1° are merged.

Principal peaks in the range 2θ = 10–90°, low angle first:
2θ (°)  d (Å)  I (rel.)
14.8  5.989  100
24.1  3.693  33
28.8  3.098  100
29.8  2.995  27
35.1  2.559  28
37.6  2.394  19
38.7  2.326  17
39.6  2.278  28
45.4  1.996  30
49.4  1.846  24
58.7  1.573  17
59.7  1.549  17

Structure:
a = 7.110 Å, b = 7.110 Å, c = 7.110 Å
α = 62.58°, β = 62.58°, γ = 62.58°
Fractional positions:
Fe 0.170 0.170 0.661
Fe 0.170 0.661 0.170
Fe 0.661 0.170 0.170
P 0.476 0.476 0.476
H 0.452 0.856 0.856
H 0.476 0.476 0.869
H 0.476 0.869 0.476
H 0.856 0.452 0.856
H 0.856 0.856 0.452
H 0.869 0.476 0.476
Pb 0.160 0.160 0.160
S 0.855 0.855 0.855
O 0.037 0.422 0.422
O 0.286 0.907 0.907
O 0.329 0.329 0.673
O 0.329 0.673 0.329
O 0.422 0.037 0.422
O 0.422 0.422 0.037
O 0.567 0.567 0.567
O 0.664 0.994 0.994
O 0.673 0.329 0.329
O 0.768 0.768 0.768
O 0.907 0.286 0.907
O 0.907 0.907 0.286
O 0.994 0.664 0.994
O 0.994 0.994 0.664

=====

Calculated PXRD pattern of Li3MnFe2B3O9 for Cu Kα (λ = 1.5418 Å), from a DFT-relaxed cell (PBE+U, the Materials Project).
Lines closer than 0.1° are merged.

Principal peaks in the range 2θ = 10–90°, low angle first:
2θ (°)  d (Å)  I (rel.)
21.5  4.130  100
31.0  2.884  16
33.1  2.704  16
35.8  2.505  78
37.7  2.384  32
38.1  2.365  9
43.8  2.065  15
44.1  2.052  10
47.8  1.902  28
53.0  1.727  25
54.7  1.679  17
58.6  1.576  11

Structure:
a = 8.255 Å, b = 3.152 Å, c = 14.316 Å
α = 90.00°, β = 90.09°, γ = 90.00°
Fractional positions:
Li 0.000 0.000 0.000
Li 0.025 0.000 0.295
Li 0.074 0.000 0.659
Li 0.501 0.000 0.501
Li 0.527 0.000 0.793
Li 0.573 0.000 0.161
Mn 0.232 0.500 0.146
Mn 0.675 0.500 0.971
Fe 0.178 0.500 0.471
Fe 0.191 0.500 0.834
Fe 0.692 0.500 0.335
Fe 0.731 0.500 0.647
B 0.365 0.000 0.984
B 0.367 0.500 0.651
B 0.368 0.000 0.319
B 0.867 0.000 0.485
B 0.867 0.500 0.152
B 0.868 0.000 0.817
O 0.004 0.500 0.209
O 0.020 0.000 0.860
O 0.022 0.000 0.524
O 0.215 0.500 0.693
O 0.228 0.000 0.040
O 0.228 0.000 0.373
O 0.350 0.000 0.887
O 0.356 0.000 0.222
O 0.379 0.500 0.554
O 0.507 0.500 0.706
O 0.518 0.000 0.025
O 0.520 0.000 0.362
O 0.713 0.500 0.193
O 0.728 0.000 0.871
O 0.730 0.000 0.543
O 0.848 0.000 0.388
O 0.856 0.000 0.720
O 0.884 0.500 0.055

=====

Calculated PXRD pattern of BaLiCrF6 for Cu Kα (λ = 1.5418 Å), from a DFT-relaxed cell (PBE+U, the Materials Project).
Lines closer than 0.1° are merged.

Principal peaks in the range 2θ = 10–90°, low angle first:
2θ (°)  d (Å)  I (rel.)
13.1  6.772  35
18.2  4.873  40
20.9  4.241  29
25.4  3.511  44
25.6  3.486  33
26.3  3.386  44
27.2  3.284  100
27.5  3.246  61
30.1  2.971  36
39.0  2.307  31
39.9  2.258  46
41.0  2.201  34

Structure:
a = 5.488 Å, b = 10.601 Å, c = 8.803 Å
α = 90.00°, β = 90.79°, γ = 90.00°
Fractional positions:
Ba 0.198 0.187 0.497
Ba 0.198 0.313 0.997
Ba 0.802 0.687 0.003
Ba 0.802 0.813 0.503
Li 0.259 0.589 0.321
Li 0.259 0.911 0.821
Li 0.741 0.089 0.179
Li 0.741 0.411 0.679
Cr 0.261 0.588 0.731
Cr 0.261 0.912 0.231
Cr 0.739 0.088 0.769
Cr 0.739 0.412 0.269
F 0.039 0.007 0.699
F 0.039 0.493 0.199
F 0.102 0.747 0.258
F 0.102 0.753 0.758
F 0.159 0.604 0.522
F 0.159 0.896 0.022
F 0.340 0.593 0.947
F 0.340 0.907 0.447
F 0.396 0.082 0.208
F 0.396 0.418 0.708
F 0.423 0.160 0.809
F 0.423 0.340 0.309
F 0.577 0.660 0.691
F 0.577 0.840 0.191
F 0.604 0.582 0.292
F 0.604 0.918 0.792
F 0.660 0.093 0.553
F 0.660 0.407 0.053
F 0.841 0.104 0.978
F 0.841 0.396 0.478
F 0.898 0.247 0.242
F 0.898 0.253 0.742
F 0.961 0.507 0.801
F 0.961 0.993 0.301

=====

Calculated PXRD pattern of Fe2H6Se3O12 for Cu Kα (λ = 1.5418 Å), from a DFT-relaxed cell (PBE+U, the Materials Project).
Lines closer than 0.1° are merged.

Principal peaks in the range 2θ = 10–90°, low angle first:
2θ (°)  d (Å)  I (rel.)
13.8  6.434  76
18.6  4.766  21
23.2  3.830  100
26.0  3.423  23
27.7  3.217  91
29.9  2.986  38
32.2  2.780  16
33.6  2.667  54
36.2  2.485  22
52.5  1.742  23
53.6  1.709  17
60.8  1.524  17

Structure:
a = 8.784 Å, b = 8.784 Å, c = 8.784 Å
α = 65.73°, β = 65.73°, γ = 65.73°
Fractional positions:
Fe 0.000 0.000 0.000
Fe 0.234 0.234 0.234
Fe 0.500 0.500 0.500
Fe 0.734 0.734 0.734
H 0.015 0.650 0.176
H 0.150 0.515 0.676
H 0.176 0.015 0.650
H 0.194 0.490 0.492
H 0.490 0.492 0.194
H 0.492 0.194 0.490
H 0.515 0.676 0.150
H 0.650 0.176 0.015
H 0.676 0.150 0.515
H 0.694 0.992 0.990
H 0.990 0.694 0.992
H 0.992 0.990 0.694
Se 0.013 0.940 0.392
Se 0.392 0.013 0.940
Se 0.440 0.513 0.892
Se 0.513 0.892 0.440
Se 0.892 0.440 0.513
Se 0.940 0.392 0.013
O 0.007 0.245 0.896
O 0.029 0.138 0.369
O 0.079 0.974 0.747
O 0.091 0.435 0.347
O 0.138 0.369 0.029
O 0.245 0.896 0.007
O 0.247 0.474 0.579
O 0.347 0.091 0.435
O 0.369 0.029 0.138
O 0.396 0.745 0.507
O 0.435 0.347 0.091
O 0.474 0.579 0.247
O 0.507 0.396 0.745
O 0.529 0.869 0.638
O 0.579 0.247 0.474
O 0.591 0.847 0.935
O 0.638 0.529 0.869
O 0.745 0.507 0.396
O 0.747 0.079 0.974
O 0.847 0.935 0.591
O 0.869 0.638 0.529
O 0.896 0.007 0.245
O 0.935 0.591 0.847
O 0.974 0.747 0.079

=====

Calculated PXRD pattern of Fe2Cl6O5 for Cu Kα (λ = 1.5418 Å), from a DFT-relaxed cell (PBE+U, the Materials Project).
Lines closer than 0.1° are merged.

Principal peaks in the range 2θ = 10–90°, low angle first:
2θ (°)  d (Å)  I (rel.)
17.4  5.095  100
17.7  4.997  76
20.2  4.404  29
20.4  4.352  46
26.0  3.432  15
29.1  3.069  40
30.2  2.962  23
32.7  2.742  14
46.2  1.963  14
50.1  1.819  12
50.8  1.799  14
52.7  1.737  11

Structure:
a = 12.491 Å, b = 6.068 Å, c = 17.616 Å
α = 90.00°, β = 90.00°, γ = 90.00°
Fractional positions:
Fe 0.018 0.037 0.000
Fe 0.245 0.581 0.747
Fe 0.255 0.581 0.247
Fe 0.482 0.037 0.500
Fe 0.518 0.963 0.000
Fe 0.745 0.419 0.747
Fe 0.755 0.419 0.247
Fe 0.982 0.963 0.500
Cl 0.028 0.415 0.991
Cl 0.055 0.059 0.608
Cl 0.055 0.083 0.395
Cl 0.127 0.382 0.188
Cl 0.170 0.286 0.805
Cl 0.196 0.946 0.002
Cl 0.304 0.946 0.502
Cl 0.330 0.286 0.305
Cl 0.373 0.382 0.688
Cl 0.445 0.059 0.108
Cl 0.445 0.083 0.895
Cl 0.472 0.415 0.491
Cl 0.528 0.585 0.991
Cl 0.555 0.917 0.395
Cl 0.555 0.941 0.608
Cl 0.627 0.618 0.188
Cl 0.670 0.714 0.805
Cl 0.696 0.054 0.002
Cl 0.804 0.054 0.502
Cl 0.830 0.714 0.305
Cl 0.873 0.618 0.688
Cl 0.945 0.917 0.895
Cl 0.945 0.941 0.108
Cl 0.972 0.585 0.491
O 0.143 0.765 0.776
O 0.202 0.836 0.217
O 0.208 0.326 0.990
O 0.212 0.557 0.646
O 0.221 0.591 0.347
O 0.279 0.591 0.847
O 0.288 0.557 0.146
O 0.292 0.326 0.490
O 0.298 0.836 0.717
O 0.357 0.765 0.276
O 0.643 0.235 0.776
O 0.702 0.164 0.217
O 0.708 0.674 0.990
O 0.712 0.443 0.646
O 0.721 0.409 0.347
O 0.779 0.409 0.847
O 0.788 0.443 0.146
O 0.792 0.674 0.490
O 0.798 0.164 0.717
O 0.857 0.235 0.276

=====

Calculated PXRD pattern of NaLaEuWO6 for Cu Kα (λ = 1.5418 Å), from a DFT-relaxed cell (PBE+U, the Materials Project).
Lines closer than 0.1° are merged.

Principal peaks in the range 2θ = 10–90°, low angle first:
2θ (°)  d (Å)  I (rel.)
17.9  4.955  20
20.7  4.291  18
29.4  3.034  100
34.7  2.588  11
42.1  2.146  30
46.1  1.969  5
47.4  1.919  7
52.2  1.752  41
61.1  1.517  19
69.2  1.357  19
77.0  1.239  6
84.5  1.147  22

Structure:
a = 6.069 Å, b = 6.069 Å, c = 6.069 Å
α = 60.00°, β = 60.00°, γ = 60.00°
Fractional positions:
Na 0.000 0.000 0.000
La 0.250 0.250 0.250
Eu 0.500 0.500 0.500
W 0.750 0.750 0.750
O 0.523 0.523 0.977
O 0.523 0.977 0.523
O 0.523 0.977 0.977
O 0.977 0.523 0.523
O 0.977 0.523 0.977
O 0.977 0.977 0.523

=====

Calculated PXRD pattern of BaNdCo2O5 for Cu Kα (λ = 1.5418 Å), from a DFT-relaxed cell (PBE+U, the Materials Project).
Lines closer than 0.1° are merged.

Principal peaks in the range 2θ = 10–90°, low angle first:
2θ (°)  d (Å)  I (rel.)
22.1  4.019  8
22.8  3.903  13
32.0  2.800  100
32.4  2.760  53
39.6  2.275  19
45.1  2.009  16
46.5  1.952  26
56.7  1.624  21
57.6  1.601  42
66.8  1.400  17
75.0  1.267  9
77.3  1.234  8

Structure:
a = 3.903 Å, b = 4.019 Å, c = 7.807 Å
α = 90.00°, β = 90.00°, γ = 90.00°
Fractional positions:
Ba 0.000 0.000 0.000
Nd 0.000 0.000 0.500
Co 0.500 0.500 0.255
Co 0.500 0.500 0.745
O 0.000 0.500 0.310
O 0.000 0.500 0.690
O 0.500 0.000 0.303
O 0.500 0.000 0.697
O 0.500 0.500 0.000